[1]
Structure and theoretical powder XRD pattern of ZrCu2Cl6 (the PBE geometry in the Materials Project; copper Kα).
Kinematic intensities with the Lorentz-polarization factor, no thermal factor.

Top 12 peaks for 5° ≤ 2θ ≤ 70°, in order of rising 2θ:
2θ (°), Rel. int.
15.2, 100.0
15.7, 20.2
17.0, 16.3
21.6, 16.0
23.4, 12.8
28.3, 22.6
28.5, 12.8
30.8, 14.9
31.8, 14.6
46.9, 20.9
48.5, 16.8
49.2, 15.9

Structure:
```
data_ZrCu2Cl6
_space_group_name_H-M_alt 'P 1'
_space_group_IT_number 1
_cell_length_a 6.1392
_cell_length_b 11.1235
_cell_length_c 11.2743
_cell_angle_alpha 62.53
_cell_angle_beta 88.93
_cell_angle_gamma 89.55
loop_
_space_group_symop_operation_xyz
'x,y,z'
loop_
_atom_site_label
_atom_site_type_symbol
_atom_site_fract_x
_atom_site_fract_y
_atom_site_fract_z
Zr1 Zr 0.0000 0.0000 0.0000
Zr2 Zr 0.0594 0.3341 0.3208
Zr3 Zr 0.5430 0.6629 0.6645
Cu1 Cu 0.1443 0.7701 0.7664
Cu2 Cu 0.4060 0.0853 0.0818
Cu3 Cu 0.4474 0.4324 0.4315
Cu4 Cu 0.4607 0.1290 0.4325
Cu5 Cu 0.6240 0.9010 0.9024
Cu6 Cu 0.9235 0.5656 0.5648
Cl1 Cl 0.2297 0.8903 0.2052
Cl2 Cl 0.2348 0.2091 0.8905
Cl3 Cl 0.2508 0.8891 0.8880
Cl4 Cl 0.2798 0.2253 0.5492
Cl5 Cl 0.2921 0.5405 0.2300
Cl6 Cl 0.3028 0.5570 0.5546
Cl7 Cl 0.3030 0.5634 0.8677
Cl8 Cl 0.3071 0.2191 0.2257
Cl9 Cl 0.3146 0.8820 0.5576
Cl10 Cl 0.7654 0.4542 0.7700
Cl11 Cl 0.7659 0.1073 0.1053
Cl12 Cl 0.7657 0.7711 0.4537
Cl13 Cl 0.7668 0.7763 0.7715
Cl14 Cl 0.7806 0.7856 0.1020
Cl15 Cl 0.7865 0.1037 0.7879
Cl16 Cl 0.8214 0.4400 0.4434
Cl17 Cl 0.8291 0.1231 0.4361
Cl18 Cl 0.8349 0.4299 0.1305
```

[2]
Structure and theoretical powder XRD pattern of DyCl3 (the PBE geometry in the Materials Project; copper Kα).
Kinematic intensities with the Lorentz-polarization factor, no thermal factor.

Top 12 peaks for 5° ≤ 2θ ≤ 70°, in order of rising 2θ:
2θ (°), Rel. int.
12.6, 100.0
20.7, 20.1
24.3, 21.0
26.5, 23.9
32.1, 47.3
33.0, 12.7
33.9, 6.8
40.0, 25.6
41.3, 22.4
44.1, 29.1
49.8, 9.2
52.7, 9.3

Structure:
```
data_DyCl3
_space_group_name_H-M_alt 'C m c m'
_space_group_IT_number 63
_space_group_name_Hall '-C 2c 2'
_cell_length_a 3.7954
_cell_length_b 14.0585
_cell_length_c 8.5731
_cell_angle_alpha 90.00
_cell_angle_beta 90.00
_cell_angle_gamma 90.00
loop_
_atom_site_label
_atom_site_type_symbol
_atom_site_fract_x
_atom_site_fract_y
_atom_site_fract_z
Dy1 Dy 0.0000 0.2416 0.2500
Cl1 Cl 0.0000 0.1638 0.5689
Cl2 Cl 0.0000 0.3904 0.7500
```

[3]
Structure and theoretical powder XRD pattern of K2DyCl5 (the PBE geometry in the Materials Project; copper Kα).
Kinematic intensities with the Lorentz-polarization factor, no thermal factor.

Top 12 peaks for 5° ≤ 2θ ≤ 70°, in order of rising 2θ:
2θ (°), Rel. int.
12.9, 100.0
13.5, 52.8
15.1, 27.7
23.2, 37.3
24.5, 49.6
24.8, 35.1
33.4, 41.1
34.5, 31.1
37.7, 36.0
42.0, 34.5
42.2, 23.0
44.9, 24.0

Structure:
```
data_K2DyCl5
_space_group_name_H-M_alt 'P n m a'
_space_group_IT_number 62
_cell_length_a 13.0714
_cell_length_b 8.5750
_cell_length_c 8.0688
_cell_angle_alpha 90.00
_cell_angle_beta 90.00
_cell_angle_gamma 90.00
loop_
_space_group_symop_operation_xyz
'x,y,z'
'-x,-y,-z'
'-x+1/2,-y,z+1/2'
'x+1/2,y,-z+1/2'
'x+1/2,-y+1/2,-z+1/2'
'-x+1/2,y+1/2,z+1/2'
'-x,y+1/2,-z'
'x,-y+1/2,z'
loop_
_atom_site_label
_atom_site_type_symbol
_atom_site_fract_x
_atom_site_fract_y
_atom_site_fract_z
K1 K 0.1742 0.0006 0.0338
Dy1 Dy 0.0028 0.7500 0.5737
Cl1 Cl 0.0127 0.7500 0.9110
Cl2 Cl 0.0802 0.0405 0.6537
Cl3 Cl 0.1648 0.7500 0.3658
Cl4 Cl 0.1957 0.2500 0.3312
```

[4]
Structure and theoretical powder XRD pattern of KDy2Cl7 (the PBE geometry in the Materials Project; copper Kα).
Kinematic intensities with the Lorentz-polarization factor, no thermal factor.

Top 12 peaks for 5° ≤ 2θ ≤ 70°, in order of rising 2θ:
2θ (°), Rel. int.
13.2, 100.0
14.5, 42.4
19.6, 31.2
19.8, 32.5
25.6, 58.1
31.8, 19.7
32.0, 18.5
34.8, 26.1
37.0, 15.7
39.0, 17.3
39.1, 15.9
44.3, 13.9

Structure:
```
data_KDy2Cl7
_space_group_name_H-M_alt 'P 1 21/c 1'
_space_group_IT_number 14
_cell_length_a 6.9629
_cell_length_b 12.6333
_cell_length_c 13.4341
_cell_angle_alpha 90.00
_cell_angle_beta 90.73
_cell_angle_gamma 90.00
loop_
_space_group_symop_operation_xyz
'x,y,z'
'-x,-y,-z'
'-x,y+1/2,-z+1/2'
'x,-y+1/2,z+1/2'
loop_
_atom_site_label
_atom_site_type_symbol
_atom_site_fract_x
_atom_site_fract_y
_atom_site_fract_z
K1 K 0.2414 0.2006 0.0367
Dy1 Dy 0.2249 0.5381 0.2376
Dy2 Dy 0.2731 0.6592 0.7475
Cl1 Cl 0.0034 0.7034 0.1747
Cl2 Cl 0.0222 0.5744 0.8771
Cl3 Cl 0.0535 0.5254 0.6347
Cl4 Cl 0.2538 0.6863 0.3896
Cl5 Cl 0.4567 0.0878 0.6240
Cl6 Cl 0.4653 0.0571 0.8696
Cl7 Cl 0.4854 0.6793 0.1741
```

[5]
Structure and theoretical powder XRD pattern of K2LiDyCl6 (the PBE geometry in the Materials Project; copper Kα).
Kinematic intensities with the Lorentz-polarization factor, no thermal factor.

Top 12 peaks for 5° ≤ 2θ ≤ 70°, in order of rising 2θ:
2θ (°), Rel. int.
14.8, 100.0
17.1, 60.6
24.3, 64.4
28.5, 69.0
34.6, 90.7
37.8, 35.0
38.8, 30.0
42.7, 29.4
45.4, 24.5
49.7, 59.0
52.1, 24.5
61.9, 19.4

Structure:
```
data_K2LiDyCl6
_space_group_name_H-M_alt 'F m -3 m'
_space_group_IT_number 225
_space_group_name_Hall '-F 4 2 3'
_cell_length_a 10.3792
_cell_length_b 10.3792
_cell_length_c 10.3792
_cell_angle_alpha 90.00
_cell_angle_beta 90.00
_cell_angle_gamma 90.00
loop_
_atom_site_label
_atom_site_type_symbol
_atom_site_fract_x
_atom_site_fract_y
_atom_site_fract_z
K1 K 0.2500 0.2500 0.2500
Li1 Li 0.0000 0.0000 0.0000
Dy1 Dy 0.0000 0.0000 0.5000
Cl1 Cl 0.0000 0.0000 0.2471
```

[6]
Structure and theoretical powder XRD pattern of K2NaDyCl6 (the PBE geometry in the Materials Project; copper Kα).
Kinematic intensities with the Lorentz-polarization factor, no thermal factor.

Top 12 peaks for 5° ≤ 2θ ≤ 70°, in order of rising 2θ:
2θ (°), Rel. int.
14.3, 89.3
16.5, 76.0
23.5, 79.8
27.6, 50.0
33.4, 100.0
36.5, 21.0
37.5, 38.3
41.2, 36.6
43.9, 22.3
48.0, 65.9
50.3, 22.3
59.7, 21.6

Structure:
```
data_K2NaDyCl6
_space_group_name_H-M_alt 'F m -3 m'
_space_group_IT_number 225
_space_group_name_Hall '-F 4 2 3'
_cell_length_a 10.7242
_cell_length_b 10.7242
_cell_length_c 10.7242
_cell_angle_alpha 90.00
_cell_angle_beta 90.00
_cell_angle_gamma 90.00
loop_
_atom_site_label
_atom_site_type_symbol
_atom_site_fract_x
_atom_site_fract_y
_atom_site_fract_z
K1 K 0.2500 0.2500 0.2500
Na1 Na 0.0000 0.0000 0.0000
Dy1 Dy 0.0000 0.0000 0.5000
Cl1 Cl 0.0000 0.0000 0.2551
```

[7]
Structure and theoretical powder XRD pattern of Rb2LiDyCl6 (the PBE geometry in the Materials Project; copper Kα).
Kinematic intensities with the Lorentz-polarization factor, no thermal factor.

Top 12 peaks for 5° ≤ 2θ ≤ 70°, in order of rising 2θ:
2θ (°), Rel. int.
14.7, 69.0
24.0, 100.0
28.3, 46.2
29.6, 30.1
34.3, 88.4
37.4, 22.8
42.3, 46.6
49.2, 59.3
51.6, 17.0
55.5, 21.5
61.3, 19.8
66.9, 24.8

Structure:
```
data_Rb2LiDyCl6
_space_group_name_H-M_alt 'F m -3 m'
_space_group_IT_number 225
_space_group_name_Hall '-F 4 2 3'
_cell_length_a 10.4707
_cell_length_b 10.4707
_cell_length_c 10.4707
_cell_angle_alpha 90.00
_cell_angle_beta 90.00
_cell_angle_gamma 90.00
loop_
_atom_site_label
_atom_site_type_symbol
_atom_site_fract_x
_atom_site_fract_y
_atom_site_fract_z
Rb1 Rb 0.2500 0.2500 0.2500
Li1 Li 0.0000 0.0000 0.0000
Dy1 Dy 0.0000 0.0000 0.5000
Cl1 Cl 0.0000 0.0000 0.2484
```

[8]
Structure and theoretical powder XRD pattern of Na3DyCl6 (the PBE geometry in the Materials Project; copper Kα).
Kinematic intensities with the Lorentz-polarization factor, no thermal factor.

Top 12 peaks for 5° ≤ 2θ ≤ 70°, in order of rising 2θ:
2θ (°), Rel. int.
14.4, 79.1
16.7, 100.0
23.7, 48.5
27.8, 45.7
33.7, 78.6
36.9, 19.8
37.9, 48.1
41.6, 23.6
44.3, 19.6
48.4, 52.1
50.8, 19.7
51.6, 23.9

Structure:
```
data_Na3DyCl6
_space_group_name_H-M_alt 'F m -3 m'
_space_group_IT_number 225
_space_group_name_Hall '-F 4 2 3'
_cell_length_a 10.6297
_cell_length_b 10.6297
_cell_length_c 10.6297
_cell_angle_alpha 90.00
_cell_angle_beta 90.00
_cell_angle_gamma 90.00
loop_
_atom_site_label
_atom_site_type_symbol
_atom_site_fract_x
_atom_site_fract_y
_atom_site_fract_z
Na1 Na 0.0000 0.0000 0.0000
Na2 Na 0.2500 0.2500 0.2500
Dy1 Dy 0.0000 0.0000 0.5000
Cl1 Cl 0.0000 0.0000 0.2538
```